YHf5Sb3: theoretical powder XRD pattern (λ = 1.5418 Å (Cu Kα)), based on a DFT-relaxed cell (PBE, OQMD).
No peak broadening, texture or thermal motion is included.

Largest 10 diffraction maxima, sorted by position, 5 to 70 degrees two-theta:
2θ 23.04, I = 32.7, (1 1 -1)
2θ 28.69, I = 59.1, (1 1 1)
2θ 30.09, I = 59.1, (0 1 2)
2θ 34.09, I = 100.0, (2 0 -2)
2θ 35.59, I = 41.6, (1 2 0)
2θ 35.89, I = 55.0, (1 2 -1)
2θ 36.57, I = 26.3, (2 1 0)
2θ 38.54, I = 36.0, (1 1 2)
2θ 39.90, I = 47.4, (1 1 -3)
2θ 44.64, I = 38.7, (2 2 -1)

Atomic structure:
```
YHf5Sb3
1.0
5.8009 0.0000 0.0000
0.0000 5.6910 0.0000
-2.5464 0.0000 6.9633
Y Hf Sb
1 5 3
Direct
0.0000 0.0000 0.0000 Y
0.0000 0.1258 0.5000 Hf
0.1995 0.4907 0.2091 Hf
0.3967 0.8139 0.7929 Hf
0.6033 0.8139 0.2071 Hf
0.8005 0.4907 0.7909 Hf
0.0000 0.6174 0.5000 Sb
0.5000 0.1063 0.5000 Sb
0.5000 0.3007 0.0000 Sb
```


Hf3Zr3ZnSb2: theoretical powder XRD pattern (λ = 1.5418 Å (Cu Kα)), based on a DFT-relaxed cell (PBE, OQMD).
No peak broadening, texture or thermal motion is included.

Largest 10 diffraction maxima, sorted by position, 5 to 70 degrees two-theta:
2θ 23.16, I = 14.8, (0 0 1)
2θ 33.07, I = 62.7, (1 1 1)
2θ 35.86, I = 100.0, (2 1 0)
2θ 40.90, I = 19.4, (3 0 0)
2θ 43.15, I = 39.3, (2 1 1)
2θ 47.34, I = 16.2, (0 0 2)
2θ 55.50, I = 10.7, (4 0 0)
2θ 60.80, I = 23.0, (2 1 2)
2θ 66.17, I = 20.1, (3 2 1)
2θ 69.53, I = 10.2, (4 1 1)

Atomic structure:
```
Hf3Zr3ZnSb2
1.0
7.6433 0.0000 0.0000
-3.8216 6.6193 0.0000
0.0000 0.0000 3.8409
Hf Zr Zn Sb
3 3 1 2
Direct
0.0000 0.2417 0.0000 Hf
0.2417 0.0000 0.0000 Hf
0.7583 0.7583 0.0000 Hf
0.0000 0.5966 0.5000 Zr
0.4034 0.4034 0.5000 Zr
0.5966 0.0000 0.5000 Zr
0.0000 0.0000 0.5000 Zn
0.3333 0.6667 0.0000 Sb
0.6667 0.3333 0.0000 Sb
```


HfZr3Sb4: theoretical powder XRD pattern (λ = 1.5418 Å (Cu Kα)), based on a DFT-relaxed cell (PBE, OQMD).
No peak broadening, texture or thermal motion is included.

Largest 10 diffraction maxima, sorted by position, 5 to 70 degrees two-theta:
2θ 6.47, I = 14.9, (0 0 1)
2θ 28.31, I = 62.4, (0 1 2)
2θ 31.94, I = 100.0, (0 1 3)
2θ 36.48, I = 31.8, (0 1 4)
2θ 41.68, I = 32.9, (1 0 5)
2θ 44.14, I = 65.3, (1 1 0)
2θ 47.40, I = 21.9, (1 0 6)
2θ 53.27, I = 10.5, (2 0 2)
2θ 53.62, I = 13.5, (0 0 8)
2θ 55.51, I = 20.4, (2 0 3)

Atomic structure:
```
HfZr3Sb4
1.0
4.1031 0.0000 0.0000
-2.0515 3.5534 0.0000
0.0000 0.0000 13.6702
Hf Zr Sb
1 3 4
Direct
0.0000 0.0000 0.0000 Hf
0.0000 0.0000 0.2618 Zr
0.3333 0.6667 0.4990 Zr
0.3333 0.6667 0.7636 Zr
0.0000 0.0000 0.6317 Sb
0.3333 0.6667 0.1289 Sb
0.6667 0.3333 0.3805 Sb
0.6667 0.3333 0.8836 Sb
```